No. 1
Starting from the GGA-PBE geometry in Alexandria, the powder diffractogram of YScP2Ir5 was simulated for Cu Kα (weighted mean of Kα1 and Kα2).

Structural model:
```
data_YScP2Ir5
_chemical_formula_sum 'Y1 Sc1 P2 Ir5'
_symmetry_space_group_name_H-M 'P 1'
_symmetry_Int_Tables_number 1
_cell_length_a 4.002
_cell_length_b 4.002
_cell_length_c 10.656
_cell_angle_alpha 90.00
_cell_angle_beta 90.00
_cell_angle_gamma 90.00
loop_
_symmetry_equiv_pos_as_xyz
'x,y,z'
loop_
_atom_site_label
_atom_site_type_symbol
_atom_site_fract_x
_atom_site_fract_y
_atom_site_fract_z
Y1 Y 0.000 0.000 0.000
Sc1 Sc 0.000 0.000 0.500
P1 P 0.500 0.500 0.214
P2 P 0.500 0.500 0.786
Ir1 Ir 0.000 0.500 0.317
Ir2 Ir 0.000 0.500 0.683
Ir3 Ir 0.500 0.000 0.317
Ir4 Ir 0.500 0.000 0.683
Ir5 Ir 0.500 0.500 0.000
```

Largest 10 diffraction maxima, in order of rising 2θ, 2θ = 10–90°:
2theta, intensity
25.1, 88.2
32.7, 66.7
35.9, 100.0
40.8, 33.5
45.3, 56.9
52.5, 48.8
53.9, 47.0
71.0, 20.0
71.8, 19.3
77.5, 21.8

No. 2
Starting from the GGA-PBE geometry in Alexandria, the powder diffractogram of Dy7Co2Au2 was simulated for Cu Kα (weighted mean of Kα1 and Kα2).

Structural model:
```
data_Dy7Co2Au2
_chemical_formula_sum 'Dy7 Co2 Au2'
_symmetry_space_group_name_H-M 'P 1'
_symmetry_Int_Tables_number 1
_cell_length_a 6.592
_cell_length_b 6.592
_cell_length_c 6.892
_cell_angle_alpha 90.00
_cell_angle_beta 90.00
_cell_angle_gamma 109.48
loop_
_symmetry_equiv_pos_as_xyz
'x,y,z'
loop_
_atom_site_label
_atom_site_type_symbol
_atom_site_fract_x
_atom_site_fract_y
_atom_site_fract_z
Dy1 Dy 0.000 0.000 0.000
Dy2 Dy 0.000 0.500 0.250
Dy3 Dy 0.000 0.500 0.750
Dy4 Dy 0.500 0.000 0.250
Dy5 Dy 0.500 0.000 0.750
Dy6 Dy 0.500 0.500 0.243
Dy7 Dy 0.500 0.500 0.757
Co1 Co 0.293 0.707 0.000
Co2 Co 0.707 0.293 0.000
Au1 Au 0.187 0.187 0.500
Au2 Au 0.813 0.813 0.500
```

Largest 10 diffraction maxima, in order of rising 2θ, 2θ = 10–90°:
2theta, intensity
26.8, 32.3
28.7, 43.7
29.6, 53.3
30.8, 39.9
33.3, 68.2
38.1, 40.0
39.0, 100.0
53.2, 19.6
63.3, 19.9
64.2, 20.5

No. 3
Starting from the GGA-PBE geometry in Alexandria, the powder diffractogram of TbNp2RhN4 was simulated for Cu Kα (weighted mean of Kα1 and Kα2).

Structural model:
```
data_TbNp2RhN4
_chemical_formula_sum 'Tb2 Np4 Rh2 N8'
_symmetry_space_group_name_H-M 'P 1'
_symmetry_Int_Tables_number 1
_cell_length_a 5.896
_cell_length_b 5.896
_cell_length_c 11.592
_cell_angle_alpha 90.00
_cell_angle_beta 90.00
_cell_angle_gamma 146.11
loop_
_symmetry_equiv_pos_as_xyz
'x,y,z'
loop_
_atom_site_label
_atom_site_type_symbol
_atom_site_fract_x
_atom_site_fract_y
_atom_site_fract_z
Tb1 Tb 0.109 0.891 0.750
Tb2 Tb 0.891 0.109 0.250
Np1 Np 0.372 0.628 0.557
Np2 Np 0.372 0.628 0.943
Np3 Np 0.628 0.372 0.057
Np4 Np 0.628 0.372 0.443
Rh1 Rh 0.153 0.847 0.250
Rh2 Rh 0.847 0.153 0.750
N1 N 0.000 0.000 0.000
N2 N 0.000 0.000 0.500
N3 N 0.269 0.731 0.103
N4 N 0.269 0.731 0.397
N5 N 0.463 0.537 0.750
N6 N 0.537 0.463 0.250
N7 N 0.731 0.269 0.603
N8 N 0.731 0.269 0.897
```

Largest 10 diffraction maxima, in order of rising 2θ, 2θ = 10–90°:
2theta, intensity
28.0, 84.1
31.3, 100.0
31.7, 62.5
35.9, 28.3
36.2, 25.5
38.7, 77.1
42.1, 23.1
48.0, 23.6
50.9, 25.2
53.5, 24.9

No. 4
Starting from the GGA-PBE geometry in Alexandria, the powder diffractogram of ScGeSbRh2 was simulated for Cu Kα (weighted mean of Kα1 and Kα2).

Structural model:
```
data_ScGeSbRh2
_chemical_formula_sum 'Sc1 Ge1 Sb1 Rh2'
_symmetry_space_group_name_H-M 'P 1'
_symmetry_Int_Tables_number 1
_cell_length_a 4.686
_cell_length_b 4.686
_cell_length_c 5.371
_cell_angle_alpha 90.00
_cell_angle_beta 90.00
_cell_angle_gamma 90.00
loop_
_symmetry_equiv_pos_as_xyz
'x,y,z'
loop_
_atom_site_label
_atom_site_type_symbol
_atom_site_fract_x
_atom_site_fract_y
_atom_site_fract_z
Sc1 Sc 0.000 0.000 0.000
Ge1 Ge 0.500 0.500 0.500
Sb1 Sb 0.000 0.000 0.500
Rh1 Rh 0.000 0.500 0.000
Rh2 Rh 0.500 0.000 0.000
```

Largest 10 diffraction maxima, in order of rising 2θ, 2θ = 10–90°:
2theta, intensity
18.9, 11.6
31.7, 100.0
33.4, 34.0
38.4, 45.9
51.8, 38.0
55.5, 15.4
58.6, 17.1
65.3, 24.5
66.3, 17.7
85.0, 12.0

No. 5
Starting from the GGA-PBE geometry in Alexandria, the powder diffractogram of Ca4Au was simulated for Cu Kα (weighted mean of Kα1 and Kα2).

Structural model:
```
data_Ca4Au
_chemical_formula_sum 'Ca4 Au1'
_symmetry_space_group_name_H-M 'P 1'
_symmetry_Int_Tables_number 1
_cell_length_a 5.796
_cell_length_b 5.796
_cell_length_c 5.796
_cell_angle_alpha 90.00
_cell_angle_beta 90.00
_cell_angle_gamma 90.00
loop_
_symmetry_equiv_pos_as_xyz
'x,y,z'
loop_
_atom_site_label
_atom_site_type_symbol
_atom_site_fract_x
_atom_site_fract_y
_atom_site_fract_z
Ca1 Ca 0.000 0.000 0.000
Ca2 Ca 0.000 0.500 0.500
Ca3 Ca 0.500 0.000 0.500
Ca4 Ca 0.500 0.500 0.000
Au1 Au 0.500 0.500 0.500
```

Largest 10 diffraction maxima, in order of rising 2θ, 2θ = 10–90°:
2theta, intensity
15.3, 100.0
21.7, 91.2
30.9, 67.5
34.6, 57.6
38.0, 44.7
44.2, 48.8
47.0, 30.8
49.7, 21.0
59.7, 24.4
73.0, 20.9

No. 6
Starting from the GGA-PBE geometry in Alexandria, the powder diffractogram of DyICl2 was simulated for Cu Kα (weighted mean of Kα1 and Kα2).

Structural model:
```
data_DyICl2
_chemical_formula_sum 'Dy2 I2 Cl4'
_symmetry_space_group_name_H-M 'P 1'
_symmetry_Int_Tables_number 1
_cell_length_a 7.161
_cell_length_b 7.161
_cell_length_c 7.360
_cell_angle_alpha 107.77
_cell_angle_beta 107.77
_cell_angle_gamma 109.31
loop_
_symmetry_equiv_pos_as_xyz
'x,y,z'
loop_
_atom_site_label
_atom_site_type_symbol
_atom_site_fract_x
_atom_site_fract_y
_atom_site_fract_z
Dy1 Dy 0.093 0.907 0.500
Dy2 Dy 0.907 0.093 0.000
I1 I 0.659 0.861 0.201
I2 I 0.861 0.659 0.701
Cl1 Cl 0.012 0.512 0.230
Cl2 Cl 0.137 0.253 0.810
Cl3 Cl 0.253 0.137 0.310
Cl4 Cl 0.512 0.012 0.730
```

Largest 10 diffraction maxima, in order of rising 2θ, 2θ = 10–90°:
2theta, intensity
14.7, 100.0
15.2, 21.5
20.8, 73.8
24.7, 20.0
26.3, 55.5
33.0, 59.8
33.9, 18.6
34.4, 28.8
40.0, 23.8
40.5, 26.5

No. 7
Starting from the GGA-PBE geometry in Alexandria, the powder diffractogram of Li7Mg3 was simulated for Cu Kα (weighted mean of Kα1 and Kα2).

Structural model:
```
data_Li7Mg3
_chemical_formula_sum 'Li7 Mg3'
_symmetry_space_group_name_H-M 'P 1'
_symmetry_Int_Tables_number 1
_cell_length_a 8.106
_cell_length_b 8.106
_cell_length_c 5.970
_cell_angle_alpha 104.33
_cell_angle_beta 104.33
_cell_angle_gamma 32.26
loop_
_symmetry_equiv_pos_as_xyz
'x,y,z'
loop_
_atom_site_label
_atom_site_type_symbol
_atom_site_fract_x
_atom_site_fract_y
_atom_site_fract_z
Li1 Li 0.000 0.000 0.000
Li2 Li 0.200 0.200 0.602
Li3 Li 0.398 0.398 0.693
Li4 Li 0.401 0.401 0.199
Li5 Li 0.599 0.599 0.801
Li6 Li 0.602 0.602 0.307
Li7 Li 0.800 0.800 0.398
Mg1 Mg 0.000 0.000 0.500
Mg2 Mg 0.198 0.198 0.102
Mg3 Mg 0.802 0.802 0.898
```

Largest 10 diffraction maxima, in order of rising 2θ, 2θ = 10–90°:
2theta, intensity
16.8, 26.0
20.6, 37.0
21.7, 53.9
28.4, 54.0
35.9, 100.0
36.2, 93.4
40.0, 34.8
41.2, 32.0
44.2, 26.0
58.8, 21.8

No. 8
Starting from the GGA-PBE geometry in Alexandria, the powder diffractogram of Hf6GaCu was simulated for Cu Kα (weighted mean of Kα1 and Kα2).

Structural model:
```
data_Hf6GaCu
_chemical_formula_sum 'Hf6 Ga1 Cu1'
_symmetry_space_group_name_H-M 'P 1'
_symmetry_Int_Tables_number 1
_cell_length_a 5.420
_cell_length_b 5.424
_cell_length_c 5.425
_cell_angle_alpha 90.00
_cell_angle_beta 90.01
_cell_angle_gamma 90.00
loop_
_symmetry_equiv_pos_as_xyz
'x,y,z'
loop_
_atom_site_label
_atom_site_type_symbol
_atom_site_fract_x
_atom_site_fract_y
_atom_site_fract_z
Hf1 Hf 0.000 0.248 0.000
Hf2 Hf 0.000 0.752 0.000
Hf3 Hf 0.248 0.500 0.501
Hf4 Hf 0.498 0.000 0.748
Hf5 Hf 0.502 0.000 0.252
Hf6 Hf 0.752 0.500 0.499
Ga1 Ga 0.500 0.500 0.000
Cu1 Cu 0.000 0.000 0.500
```

Largest 10 diffraction maxima, in order of rising 2θ, 2θ = 10–90°:
2theta, intensity
23.2, 14.4
33.0, 16.9
37.1, 100.0
40.8, 38.0
59.0, 14.9
61.7, 23.0
64.3, 19.6
69.3, 11.6
78.9, 5.4
81.3, 21.2

No. 9
Starting from the GGA-PBE geometry in Alexandria, the powder diffractogram of In2BiAu8 was simulated for Cu Kα (weighted mean of Kα1 and Kα2).

Structural model:
```
data_In2BiAu8
_chemical_formula_sum 'In2 Bi1 Au8'
_symmetry_space_group_name_H-M 'P 1'
_symmetry_Int_Tables_number 1
_cell_length_a 7.931
_cell_length_b 7.931
_cell_length_c 5.299
_cell_angle_alpha 108.91
_cell_angle_beta 108.91
_cell_angle_gamma 117.76
loop_
_symmetry_equiv_pos_as_xyz
'x,y,z'
loop_
_atom_site_label
_atom_site_type_symbol
_atom_site_fract_x
_atom_site_fract_y
_atom_site_fract_z
In1 In 0.190 0.810 0.000
In2 In 0.810 0.190 0.000
Bi1 Bi 0.500 0.500 0.500
Au1 Au 0.074 0.074 0.317
Au2 Au 0.169 0.409 0.878
Au3 Au 0.279 0.721 0.500
Au4 Au 0.409 0.169 0.878
Au5 Au 0.591 0.831 0.122
Au6 Au 0.721 0.279 0.500
Au7 Au 0.831 0.591 0.122
Au8 Au 0.926 0.926 0.683
```

Largest 10 diffraction maxima, in order of rising 2θ, 2θ = 10–90°:
2theta, intensity
33.8, 100.0
34.2, 74.9
36.4, 21.2
37.0, 52.0
37.2, 68.6
38.1, 22.1
38.7, 81.0
42.3, 24.8
45.5, 26.7
50.4, 22.1

No. 10
Starting from the GGA-PBE geometry in Alexandria, the powder diffractogram of Hg2SbPb9 was simulated for Cu Kα (weighted mean of Kα1 and Kα2).

Structural model:
```
data_Hg2SbPb9
_chemical_formula_sum 'Hg2 Sb1 Pb9'
_symmetry_space_group_name_H-M 'P 1'
_symmetry_Int_Tables_number 1
_cell_length_a 5.966
_cell_length_b 5.966
_cell_length_c 10.729
_cell_angle_alpha 90.00
_cell_angle_beta 90.00
_cell_angle_gamma 107.11
loop_
_symmetry_equiv_pos_as_xyz
'x,y,z'
loop_
_atom_site_label
_atom_site_type_symbol
_atom_site_fract_x
_atom_site_fract_y
_atom_site_fract_z
Hg1 Hg 0.000 0.000 0.163
Hg2 Hg 0.000 0.000 0.837
Sb1 Sb 0.000 0.000 0.500
Pb1 Pb 0.000 0.500 0.000
Pb2 Pb 0.000 0.500 0.336
Pb3 Pb 0.000 0.500 0.664
Pb4 Pb 0.500 0.000 0.000
Pb5 Pb 0.500 0.000 0.336
Pb6 Pb 0.500 0.000 0.664
Pb7 Pb 0.500 0.500 0.166
Pb8 Pb 0.500 0.500 0.500
Pb9 Pb 0.500 0.500 0.834
```

Largest 10 diffraction maxima, in order of rising 2θ, 2θ = 10–90°:
2theta, intensity
31.2, 100.0
31.4, 98.7
35.7, 70.6
37.5, 31.0
52.7, 47.2
61.2, 30.3
61.5, 29.9
63.7, 13.6
63.8, 13.4
86.0, 18.7

No. 11
Starting from the GGA-PBE geometry in Alexandria, the powder diffractogram of Tb4NdTl was simulated for Cu Kα (weighted mean of Kα1 and Kα2).

Structural model:
```
data_Tb4NdTl
_chemical_formula_sum 'Tb4 Nd1 Tl1'
_symmetry_space_group_name_H-M 'P 1'
_symmetry_Int_Tables_number 1
_cell_length_a 3.623
_cell_length_b 3.623
_cell_length_c 14.344
_cell_angle_alpha 90.00
_cell_angle_beta 90.00
_cell_angle_gamma 90.00
loop_
_symmetry_equiv_pos_as_xyz
'x,y,z'
loop_
_atom_site_label
_atom_site_type_symbol
_atom_site_fract_x
_atom_site_fract_y
_atom_site_fract_z
Tb1 Tb 0.000 0.000 0.147
Tb2 Tb 0.000 0.000 0.853
Tb3 Tb 0.500 0.500 0.321
Tb4 Tb 0.500 0.500 0.679
Nd1 Nd 0.000 0.000 0.500
Tl1 Tl 0.500 0.500 0.000
```

Largest 10 diffraction maxima, in order of rising 2θ, 2θ = 10–90°:
2theta, intensity
31.0, 100.0
35.0, 38.3
37.6, 12.4
50.4, 13.8
52.3, 19.3
60.3, 30.3
63.8, 7.7
64.6, 10.3
84.6, 6.3
85.5, 7.3

No. 12
Starting from the GGA-PBE geometry in Alexandria, the powder diffractogram of AcPmHg was simulated for Cu Kα (weighted mean of Kα1 and Kα2).

Structural model:
```
data_AcPmHg
_chemical_formula_sum 'Ac1 Pm1 Hg1'
_symmetry_space_group_name_H-M 'P 1'
_symmetry_Int_Tables_number 1
_cell_length_a 5.438
_cell_length_b 5.438
_cell_length_c 3.999
_cell_angle_alpha 90.00
_cell_angle_beta 90.00
_cell_angle_gamma 120.00
loop_
_symmetry_equiv_pos_as_xyz
'x,y,z'
loop_
_atom_site_label
_atom_site_type_symbol
_atom_site_fract_x
_atom_site_fract_y
_atom_site_fract_z
Ac1 Ac 0.000 0.000 0.000
Pm1 Pm 0.667 0.333 0.500
Hg1 Hg 0.333 0.667 0.500
```

Largest 10 diffraction maxima, in order of rising 2θ, 2θ = 10–90°:
2theta, intensity
29.3, 100.0
32.9, 75.8
44.7, 32.4
45.4, 10.6
56.6, 32.6
57.2, 32.2
58.8, 14.8
76.8, 13.6
77.3, 13.6
86.6, 10.5